ZnCo3Br9: calculated X-ray powder pattern (Cu Ka), based on a GGA-PBE-relaxed structure.
Kinematic intensities with the Lorentz-polarization factor, no thermal factor.

The 10 most intense peaks (2θ from 10° to 90°), in order of falling intensity:
| 2theta | d (Å) | I/Imax |
| --- | --- | --- |
| 27.4 | 3.251 | 100 |
| 15.4 | 5.755 | 76 |
| 27.2 | 3.273 | 53 |
| 10.4 | 8.522 | 41 |
| 27.7 | 3.222 | 39 |
| 48.8 | 1.867 | 38 |
| 22.8 | 3.907 | 35 |
| 19.4 | 4.579 | 34 |
| 30.1 | 2.965 | 25 |
| 15.8 | 5.598 | 24 |

Cell and atoms:
a b c (Å): 9.6482 9.6482 13.0739
angles (deg): 116.90 116.90 71.66
Fractional positions:
Zn (0.1075, 0.8925, 0.5000)
Zn (0.8925, 0.1075, 0.0000)
Co (0.0490, 0.3747, 0.6896)
Co (0.3747, 0.0490, 0.1896)
Co (0.4560, 0.7545, 0.3653)
Co (0.7545, 0.4560, 0.8653)
Co (0.7798, 0.8717, 0.1473)
Co (0.8717, 0.7798, 0.6473)
Br (0.1082, 0.8440, 0.6712)
Br (0.1467, 0.1839, 0.0678)
Br (0.1839, 0.1467, 0.5678)
Br (0.2359, 0.5141, 0.8562)
Br (0.2717, 0.9124, 0.2476)
Br (0.2993, 0.6780, 0.4270)
Br (0.5029, 0.8640, 0.0489)
Br (0.5141, 0.2359, 0.3562)
Br (0.5411, 0.5626, 0.7395)
Br (0.5626, 0.5411, 0.2395)
Br (0.6368, 0.9201, 0.5437)
Br (0.6780, 0.2993, 0.9270)
Br (0.8421, 0.8642, 0.3441)
Br (0.8440, 0.1082, 0.1712)
Br (0.8640, 0.5029, 0.5489)
Br (0.8642, 0.8421, 0.8441)
Br (0.9124, 0.2717, 0.7476)
Br (0.9201, 0.6368, 0.0437)